# 1
Diffraction record for LiBi2O4. The powder diffraction line list is computed, not measured: it uses the GGA-PBE geometry in the Materials Project and a wavelength of 1.5418 Å.
No peak broadening, texture or thermal motion is included.

Main lines, by intensity (15 to 90 degrees two-theta):
2θ/deg, I (rel.)
28.4, 100.0
48.1, 41.9
21.6, 40.0
51.3, 25.6
29.2, 20.8
36.6, 19.1
56.3, 15.9
65.5, 15.7
47.0, 12.8
45.8, 11.8

Crystal structure
Cell lengths 8.210, 8.210, 6.117 Å; angles 90.00, 90.00, 90.00 degrees
Fractional coordinates of all 28 atoms:
Li1 0.250 0.250 0.057
Li2 0.250 0.250 0.557
Li3 0.750 0.750 0.443
Li4 0.750 0.750 0.943
Bi1 0.074 0.574 0.250
Bi2 0.074 0.926 0.750
Bi3 0.426 0.574 0.750
Bi4 0.426 0.926 0.250
Bi5 0.574 0.074 0.750
Bi6 0.574 0.426 0.250
Bi7 0.926 0.074 0.250
Bi8 0.926 0.426 0.750
O1 0.022 0.164 0.589
O2 0.022 0.336 0.089
O3 0.164 0.022 0.089
O4 0.164 0.478 0.589
O5 0.336 0.022 0.589
O6 0.336 0.478 0.089
O7 0.478 0.164 0.089
O8 0.478 0.336 0.589
O9 0.522 0.664 0.411
O10 0.522 0.836 0.911
O11 0.664 0.522 0.911
O12 0.664 0.978 0.411
O13 0.836 0.522 0.411
O14 0.836 0.978 0.911
O15 0.978 0.664 0.911
O16 0.978 0.836 0.411

=====

# 2
Diffraction record for LiAl. The powder diffraction line list is computed, not measured: it uses the GGA-PBE geometry in the Materials Project and a wavelength of 1.5418 Å.
No peak broadening, texture or thermal motion is included.

Main lines, by intensity (15 to 90 degrees two-theta):
2θ/deg, I (rel.)
40.1, 100.0
24.3, 63.1
72.9, 33.4
47.4, 28.0
58.0, 16.7
63.8, 11.4
86.6, 10.3
78.1, 8.6

Crystal structure
Cell lengths 4.495, 4.495, 4.495 Å; angles 60.00, 60.00, 60.00 degrees
Fractional coordinates of all 4 atoms:
Li1 0.125 0.125 0.125
Li2 0.875 0.875 0.875
Al1 0.375 0.375 0.375
Al2 0.625 0.625 0.625

=====

# 3
Diffraction record for KB2SbO6. The powder diffraction line list is computed, not measured: it uses the GGA-PBE geometry in the Materials Project and a wavelength of 1.5418 Å.
No peak broadening, texture or thermal motion is included.

Main lines, by intensity (15 to 90 degrees two-theta):
2θ/deg, I (rel.)
15.4, 100.0
29.0, 54.7
27.9, 47.7
18.4, 45.5
23.8, 42.8
31.2, 38.2
30.5, 37.9
24.9, 26.9
37.7, 16.2
40.4, 15.7

Crystal structure
Cell lengths 6.893, 6.893, 7.511 Å; angles 119.57, 119.57, 62.48 degrees
Fractional coordinates of all 20 atoms:
K1 0.018 0.982 0.500
K2 0.982 0.018 0.000
B1 0.463 0.888 0.412
B2 0.581 0.842 0.005
B3 0.842 0.581 0.505
B4 0.888 0.463 0.912
Sb1 0.396 0.426 0.674
Sb2 0.426 0.396 0.174
O1 0.063 0.563 0.653
O2 0.117 0.338 0.967
O3 0.323 0.499 0.419
O4 0.336 0.740 0.236
O5 0.338 0.117 0.467
O6 0.392 0.764 0.854
O7 0.499 0.323 0.919
O8 0.563 0.063 0.153
O9 0.699 0.813 0.529
O10 0.740 0.336 0.736
O11 0.764 0.392 0.354
O12 0.813 0.699 0.029

=====

# 4
Diffraction record for MgNb4I4O8. The powder diffraction line list is computed, not measured: it uses the GGA-PBE geometry in the Materials Project and a wavelength of 1.5418 Å.
No peak broadening, texture or thermal motion is included.

Main lines, by intensity (15 to 90 degrees two-theta):
2θ/deg, I (rel.)
27.8, 100.0
23.2, 73.5
32.9, 29.4
32.5, 26.7
34.6, 21.5
45.7, 21.2
46.7, 19.3
38.4, 18.6
38.5, 18.3
51.9, 16.4

Crystal structure
Cell lengths 3.891, 3.969, 21.809 Å; angles 90.00, 90.25, 90.00 degrees
Fractional coordinates of all 17 atoms:
Mg1 0.000 0.000 0.000
Nb1 0.001 0.500 0.744
Nb2 0.492 0.500 0.251
Nb3 0.511 0.000 0.128
Nb4 0.991 0.000 0.618
I1 0.493 0.000 0.354
I2 0.499 0.500 0.980
I3 0.987 0.500 0.515
I4 0.998 0.000 0.857
O1 0.484 0.500 0.152
O2 0.492 0.000 0.613
O3 0.498 0.500 0.759
O4 0.499 0.000 0.217
O5 0.993 0.500 0.253
O6 0.995 0.500 0.652
O7 0.996 0.000 0.092
O8 0.997 0.000 0.714

=====

# 5
Diffraction record for CaMg2H24Cl6O12. The powder diffraction line list is computed, not measured: it uses the GGA-PBE geometry in the Materials Project and a wavelength of 1.5418 Å.
No peak broadening, texture or thermal motion is included.

Main lines, by intensity (15 to 90 degrees two-theta):
2θ/deg, I (rel.)
33.9, 100.0
28.4, 58.1
22.9, 56.8
30.2, 28.8
17.3, 27.5
43.2, 25.8
44.8, 23.9
46.9, 22.9
27.0, 20.8
22.4, 18.0

Crystal structure
Cell lengths 8.375, 8.375, 8.375 Å; angles 75.49, 75.49, 75.49 degrees
Fractional coordinates of all 45 atoms:
Ca1 0.000 0.000 0.000
Mg1 0.323 0.323 0.323
Mg2 0.677 0.677 0.677
H1 0.059 0.389 0.164
H2 0.079 0.162 0.535
H3 0.162 0.535 0.079
H4 0.164 0.059 0.389
H5 0.181 0.575 0.498
H6 0.209 0.406 0.637
H7 0.363 0.791 0.594
H8 0.389 0.164 0.059
H9 0.406 0.637 0.209
H10 0.425 0.502 0.819
H11 0.465 0.921 0.838
H12 0.498 0.181 0.575
H13 0.502 0.819 0.425
H14 0.535 0.079 0.162
H15 0.575 0.498 0.181
H16 0.594 0.363 0.791
H17 0.611 0.836 0.941
H18 0.637 0.209 0.406
H19 0.791 0.594 0.363
H20 0.819 0.425 0.502
H21 0.836 0.941 0.611
H22 0.838 0.465 0.921
H23 0.921 0.838 0.465
H24 0.941 0.611 0.836
Cl1 0.155 0.724 0.837
Cl2 0.163 0.845 0.276
Cl3 0.276 0.163 0.845
Cl4 0.724 0.837 0.155
Cl5 0.837 0.155 0.724
Cl6 0.845 0.276 0.163
O1 0.142 0.446 0.180
O2 0.180 0.142 0.446
O3 0.204 0.452 0.518
O4 0.446 0.180 0.142
O5 0.452 0.518 0.204
O6 0.482 0.796 0.548
O7 0.518 0.204 0.452
O8 0.548 0.482 0.796
O9 0.554 0.820 0.858
O10 0.796 0.548 0.482
O11 0.820 0.858 0.554
O12 0.858 0.554 0.820